# 1
The following is a calculated XRD peak list of HoNb4. It was derived from a DFT-relaxed cell (PBE, Alexandria), using λ = 1.5418 Å (Cu Kα).
No peak broadening, texture or thermal motion is included.

Principal peaks in the range 15° ≤ 2θ ≤ 90°, in order of rising 2θ:
18.34 deg, I 52
26.04 deg, I 45
32.04 deg, I 33
37.16 deg, I 100
41.74 deg, I 26
45.94 deg, I 20
53.57 deg, I 69
57.11 deg, I 13
63.80 deg, I 12
67.00 deg, I 23

Atomic structure:
```
5
Lattice="4.839 0.000 0.000 0.000 4.839 0.000 0.000 0.000 4.839" Properties=species:S:1:pos:R:3 pbc="T T T"
Ho 0.000 0.000 0.000
Nb 0.000 0.000 2.419
Nb 0.000 2.419 0.000
Nb 2.419 0.000 0.000
Nb 2.419 2.419 2.419
```



# 2
The following is a calculated XRD peak list of PaAgHgGe. It was derived from a DFT-relaxed cell (PBE, Alexandria), using λ = 1.5418 Å (Cu Kα).
No peak broadening, texture or thermal motion is included.

Principal peaks in the range 15° ≤ 2θ ≤ 90°, in order of rising 2θ:
21.89 deg, I 17
36.13 deg, I 100
42.65 deg, I 10
52.02 deg, I 18
57.10 deg, I 4
64.97 deg, I 36
69.46 deg, I 3
76.66 deg, I 11
80.88 deg, I 3
87.80 deg, I 17

Atomic structure:
```
4
Lattice="0.000 3.516 3.516 3.516 0.000 3.516 3.516 3.516 0.000" Properties=species:S:1:pos:R:3 pbc="T T T"
Pa 0.000 0.000 0.000
Ag 3.516 3.516 3.516
Hg 1.758 1.758 1.758
Ge 5.274 5.274 5.274
```



# 3
The following is a calculated XRD peak list of PmThIrBr. It was derived from a DFT-relaxed cell (PBE, Alexandria), using λ = 1.5418 Å (Cu Kα).
No peak broadening, texture or thermal motion is included.

Principal peaks in the range 15° ≤ 2θ ≤ 90°, in order of rising 2θ:
25.71 deg, I 33
31.02 deg, I 100
36.23 deg, I 15
39.17 deg, I 16
43.27 deg, I 46
44.83 deg, I 14
45.59 deg, I 26
54.19 deg, I 21
64.70 deg, I 14
71.75 deg, I 18

Atomic structure:
```
4
Lattice="2.091 1.207 7.939 -2.091 1.207 7.939 0.000 -2.414 7.939" Properties=species:S:1:pos:R:3 pbc="T T T"
Pm 0.000 0.000 0.000
Th 0.000 0.000 4.973
Ir 0.000 0.000 14.306
Br 0.000 0.000 18.405
```



# 4
The following is a calculated XRD peak list of Ce6Os3Pd. It was derived from a DFT-relaxed cell (PBE, Alexandria), using λ = 1.5418 Å (Cu Kα).
No peak broadening, texture or thermal motion is included.

Principal peaks in the range 15° ≤ 2θ ≤ 90°, in order of rising 2θ:
25.03 deg, I 58
25.17 deg, I 62
29.85 deg, I 55
30.03 deg, I 54
32.84 deg, I 54
36.43 deg, I 100
36.53 deg, I 54
38.63 deg, I 63
44.57 deg, I 68
44.83 deg, I 65

Atomic structure:
```
20
Lattice="6.988 0.000 0.000 0.000 7.418 0.000 -6.912 0.000 9.902" Properties=species:S:1:pos:R:3 pbc="T T T"
Ce -1.361 0.624 2.448
Ce -4.816 3.085 7.399
Ce 1.122 5.010 0.730
Ce -2.334 6.116 5.681
Ce 2.280 1.203 0.763
Ce -1.176 2.506 5.714
Ce 1.252 4.912 4.188
Ce -2.204 6.215 9.139
Ce 2.410 1.301 4.221
Ce -1.046 2.407 9.173
Ce 4.893 4.333 2.504
Ce 1.437 6.794 7.455
Os 0.000 0.000 0.000
Os -3.456 3.709 4.951
Os -3.311 0.806 7.300
Os 0.145 2.903 2.348
Os -0.068 4.515 7.554
Os 3.388 6.612 2.603
Pd 0.038 0.000 4.951
Pd 3.494 3.709 0.000
```



# 5
The following is a calculated XRD peak list of Sm2Dy4ErMg. It was derived from a DFT-relaxed cell (PBE, Alexandria), using λ = 1.5418 Å (Cu Kα).
No peak broadening, texture or thermal motion is included.

Principal peaks in the range 15° ≤ 2θ ≤ 90°, in order of rising 2θ:
31.07 deg, I 100
35.75 deg, I 17
36.16 deg, I 33
51.76 deg, I 24
52.07 deg, I 12
61.33 deg, I 14
61.88 deg, I 28
64.77 deg, I 12
84.58 deg, I 12
85.07 deg, I 6

Atomic structure:
```
8
Lattice="4.968 0.000 0.000 0.000 4.968 0.000 0.000 0.000 10.047" Properties=species:S:1:pos:R:3 pbc="T T T"
Sm 0.000 0.000 0.000
Sm 2.484 2.484 5.023
Dy 0.000 2.484 2.506
Dy 0.000 2.484 7.541
Dy 2.484 0.000 2.506
Dy 2.484 0.000 7.541
Er 0.000 0.000 5.023
Mg 2.484 2.484 0.000
```



# 6
The following is a calculated XRD peak list of Na2CdGeRu. It was derived from a DFT-relaxed cell (PBE, Alexandria), using λ = 1.5418 Å (Cu Kα).
No peak broadening, texture or thermal motion is included.

Principal peaks in the range 15° ≤ 2θ ≤ 90°, in order of rising 2θ:
23.36 deg, I 100
25.36 deg, I 20
30.39 deg, I 63
33.27 deg, I 79
38.89 deg, I 26
45.86 deg, I 32
47.77 deg, I 28
52.09 deg, I 43
53.83 deg, I 20
63.23 deg, I 23

Atomic structure:
```
5
Lattice="5.385 0.000 0.000 0.000 5.385 0.000 0.000 0.000 4.632" Properties=species:S:1:pos:R:3 pbc="T T T"
Na 0.000 2.693 0.000
Na 2.693 0.000 0.000
Cd 0.000 0.000 2.316
Ge 2.693 2.693 0.000
Ru 2.693 2.693 2.316
```